[1]
HoZn2: simulated powder diffractogram (Cu Kα (λ = 1.5418 Å)), based on a crystal structure in OQMD, relaxed with GGA-PBE.
Peak positions follow from Bragg's law for the DFT cell and can differ from measured ones.

Crystal structure
Unit cell a=7.667 b=7.667 c=7.667 alpha=90.00 beta=90.00 gamma=90.00
Space group Fd-3m (No. 227, origin choice 2)
Asymmetric unit:
1 Ho 0.125 0.125 0.125
2 Zn 0.000 0.000 0.500

Top 6 peaks for 2θ = 5–70°, in order of falling intensity:
2.312 Å, intensity 100; 2.711 Å, intensity 59; 1.476 Å, intensity 32; 1.355 Å, intensity 24; 1.565 Å, intensity 23; 2.213 Å, intensity 17

---

[2]
Ho6Zn23: simulated powder diffractogram (Cu Kα (λ = 1.5418 Å)), based on a crystal structure in OQMD, relaxed with GGA-PBE.
Peak positions follow from Bragg's law for the DFT cell and can differ from measured ones.

Crystal structure
Unit cell a=12.601 b=12.601 c=12.601 alpha=90.00 beta=90.00 gamma=90.00
Space group Fm-3m (No. 225)
Asymmetric unit:
1 Ho 0.000 0.000 0.205
2 Zn 0.000 0.000 0.500
3 Zn 0.000 0.250 0.250
4 Zn 0.122 0.122 0.378
5 Zn 0.171 0.171 0.171

Top 6 peaks for 2θ = 5–70°, in order of falling intensity:
2.228 Å, intensity 100; 2.425 Å, intensity 83; 2.572 Å, intensity 29; 1.485 Å, intensity 22; 2.891 Å, intensity 19; 2.100 Å, intensity 17